1.
EuTl3: simulated XRD peak list (Cu Kα (λ = 1.5418 Å)), based on a DFT-relaxed cell (PBE, Alexandria).

Atomic structure:
```
data_EuTl3
_symmetry_space_group_name_H-M 'P 1'
_symmetry_Int_Tables_number 1
_cell_length_a 6.929
_cell_length_b 6.929
_cell_length_c 5.653
_cell_angle_alpha 90.00
_cell_angle_beta 90.00
_cell_angle_gamma 120.00
loop_
_symmetry_equiv_pos_as_xyz
'x,y,z'
loop_
_atom_site_label
_atom_site_fract_x
_atom_site_fract_y
_atom_site_fract_z
Eu1 0.333 0.667 0.250
Eu2 0.667 0.333 0.750
Tl1 0.164 0.327 0.750
Tl2 0.164 0.836 0.750
Tl3 0.327 0.164 0.250
Tl4 0.673 0.836 0.750
Tl5 0.836 0.164 0.250
Tl6 0.836 0.673 0.250
```

Most intense lines, 2θ from 10° to 80°, sorted by position:
2θ (°)	I_rel	h k l
29.78	232	2 0 0
31.66	265	0 0 2
33.82	1000	2 0 1
44.01	162	2 0 2
52.85	190	2 2 0
57.78	221	2 0 3
62.93	226	2 2 2
64.23	162	4 0 1
71.15	39	4 0 2
74.17	35	2 0 4

2.
Eu3Y: simulated XRD peak list (Cu Kα (λ = 1.5418 Å)), based on a DFT-relaxed cell (PBE, Alexandria).

Atomic structure:
```
data_Eu3Y
_symmetry_space_group_name_H-M 'P 1'
_symmetry_Int_Tables_number 1
_cell_length_a 6.011
_cell_length_b 6.011
_cell_length_c 8.519
_cell_angle_alpha 90.00
_cell_angle_beta 90.00
_cell_angle_gamma 90.00
loop_
_symmetry_equiv_pos_as_xyz
'x,y,z'
loop_
_atom_site_label
_atom_site_fract_x
_atom_site_fract_y
_atom_site_fract_z
Eu1 0.000 0.000 0.000
Eu2 0.000 0.500 0.250
Eu3 0.000 0.500 0.750
Eu4 0.500 0.000 0.250
Eu5 0.500 0.000 0.750
Eu6 0.500 0.500 0.500
Y1 0.000 0.000 0.500
Y2 0.500 0.500 0.000
```

Most intense lines, 2θ from 10° to 80°, sorted by position:
2θ (°)	I_rel	h k l
18.06	25	1 0 1
20.88	14	1 1 0
29.70	1000	2 0 0
34.98	17	2 1 1
42.51	188	2 2 0
52.71	399	3 1 2
61.68	124	4 0 0
69.85	57	1 1 6
69.99	114	4 2 0
77.78	43	4 0 4

3.
YbEu: simulated XRD peak list (Cu Kα (λ = 1.5418 Å)), based on a DFT-relaxed cell (PBE, Alexandria).

Atomic structure:
```
data_YbEu
_symmetry_space_group_name_H-M 'P 1'
_symmetry_Int_Tables_number 1
_cell_length_a 4.271
_cell_length_b 6.046
_cell_length_c 6.062
_cell_angle_alpha 90.00
_cell_angle_beta 90.00
_cell_angle_gamma 90.00
loop_
_symmetry_equiv_pos_as_xyz
'x,y,z'
loop_
_atom_site_label
_atom_site_fract_x
_atom_site_fract_y
_atom_site_fract_z
Yb1 0.000 0.000 0.000
Yb2 0.500 0.500 0.000
Eu1 0.000 0.500 0.500
Eu2 0.500 0.000 0.500
```

Most intense lines, 2θ from 10° to 80°, sorted by position:
2θ (°)	I_rel	h k l
29.53	1000	1 1 1
42.22	127	0 2 2
42.33	63	2 0 0
52.35	204	2 0 2
52.44	203	2 2 0
61.33	106	2 2 2
69.42	88	1 3 3
69.49	29	0 4 2
69.60	58	3 1 1
77.18	22	2 0 4